# 1
For BaMgGe, a crystal structure in the Materials Project, relaxed with PBE gives the theoretical PXRD pattern in this record (Cu Kα, 1.54184 Å).

Atomic structure:
Cell: 4.6975 4.6975 7.9560 Å, 90.00 90.00 90.00°
Fractional coordinates of all 6 atoms:
Ba (0.2500, 0.2500, 0.1633)
Ba (0.7500, 0.7500, 0.8367)
Mg (0.2500, 0.7500, 0.5000)
Mg (0.7500, 0.2500, 0.5000)
Ge (0.2500, 0.2500, 0.7071)
Ge (0.7500, 0.7500, 0.2929)

The 12 most intense peaks (5 to 70 degrees two-theta), in order of falling intensity:
2θ 29.42, I = 100; 2θ 26.84, I = 86; 2θ 35.20, I = 59; 2θ 38.32, I = 55; 2θ 49.04, I = 48; 2θ 49.78, I = 29; 2θ 64.52, I = 26; 2θ 29.13, I = 23; 2θ 22.35, I = 20; 2θ 55.31, I = 19; 2θ 67.28, I = 17; 2θ 62.53, I = 16

=====

# 2
For BaMg2Ge2, a crystal structure in the Materials Project, relaxed with PBE gives the theoretical PXRD pattern in this record (Cu Kα, 1.54184 Å).

Atomic structure:
Cell: 4.7005 4.7005 11.4728 Å, 90.00 90.00 90.00°
Fractional coordinates of all 10 atoms:
Ba (0.0000, 0.0000, 0.0000)
Ba (0.5000, 0.5000, 0.5000)
Mg (0.0000, 0.5000, 0.2500)
Mg (0.0000, 0.5000, 0.7500)
Mg (0.5000, 0.0000, 0.2500)
Mg (0.5000, 0.0000, 0.7500)
Ge (0.0000, 0.0000, 0.3838)
Ge (0.0000, 0.0000, 0.6162)
Ge (0.5000, 0.5000, 0.1162)
Ge (0.5000, 0.5000, 0.8838)

The 12 most intense peaks (5 to 70 degrees two-theta), in order of falling intensity:
2θ 30.13, I = 100; 2θ 31.10, I = 77; 2θ 26.82, I = 74; 2θ 38.30, I = 60; 2θ 43.91, I = 51; 2θ 49.48, I = 49; 2θ 59.65, I = 40; 2θ 15.45, I = 23; 2θ 55.28, I = 20; 2θ 64.79, I = 18; 2θ 62.48, I = 14; 2θ 41.54, I = 12

=====

# 3
For Ba2MgGe2, a crystal structure in the Materials Project, relaxed with PBE gives the theoretical PXRD pattern in this record (Cu Kα, 1.54184 Å).

Atomic structure:
Cell: 3.6120 3.6120 15.3957 Å, 90.00 90.00 90.00°
Fractional coordinates of all 5 atoms:
Ba (0.0000, 0.0000, 0.1282)
Ba (0.0000, 0.0000, 0.8718)
Mg (0.0000, 0.0000, 0.5000)
Ge (0.0000, 0.0000, 0.3300)
Ge (0.0000, 0.0000, 0.6700)

The 12 most intense peaks (5 to 70 degrees two-theta), in order of falling intensity:
2θ 24.65, I = 100; 2θ 5.74, I = 43; 2θ 34.04, I = 40; 2θ 35.14, I = 40; 2θ 23.11, I = 27; 2θ 38.42, I = 25; 2θ 42.48, I = 22; 2θ 57.01, I = 19; 2θ 46.18, I = 15; 2θ 62.34, I = 14; 2θ 50.54, I = 14; 2θ 29.00, I = 14

=====

# 4
For Ba3MgGeN4, a crystal structure in the Materials Project, relaxed with PBE gives the theoretical PXRD pattern in this record (Cu Kα, 1.54184 Å).

Atomic structure:
Cell: 6.2972 10.7024 10.2544 Å, 90.00 90.00 90.00°
Fractional coordinates of all 36 atoms:
Ba (0.1145, 0.1556, 0.0897)
Ba (0.1145, 0.3444, 0.4103)
Ba (0.2500, 0.0000, 0.4089)
Ba (0.2500, 0.5000, 0.0911)
Ba (0.3855, 0.6556, 0.4103)
Ba (0.3855, 0.8444, 0.0897)
Ba (0.6145, 0.1556, 0.9103)
Ba (0.6145, 0.3444, 0.5897)
Ba (0.7500, 0.0000, 0.5911)
Ba (0.7500, 0.5000, 0.9089)
Ba (0.8855, 0.6556, 0.5897)
Ba (0.8855, 0.8444, 0.9103)
Mg (0.1619, 0.2500, 0.7500)
Mg (0.3381, 0.7500, 0.7500)
Mg (0.6619, 0.2500, 0.2500)
Mg (0.8381, 0.7500, 0.2500)
Ge (0.2500, 0.0000, 0.7327)
Ge (0.2500, 0.5000, 0.7673)
Ge (0.7500, 0.0000, 0.2673)
Ge (0.7500, 0.5000, 0.2327)
N (0.0272, 0.0836, 0.8329)
N (0.0272, 0.4164, 0.6671)
N (0.1318, 0.6353, 0.8667)
N (0.1318, 0.8647, 0.6333)
N (0.3682, 0.1353, 0.6333)
N (0.3682, 0.3647, 0.8667)
N (0.4728, 0.5836, 0.6671)
N (0.4728, 0.9164, 0.8329)
N (0.5272, 0.0836, 0.1671)
N (0.5272, 0.4164, 0.3329)
N (0.6318, 0.6353, 0.1333)
N (0.6318, 0.8647, 0.3667)
N (0.8682, 0.1353, 0.3667)
N (0.8682, 0.3647, 0.1333)
N (0.9728, 0.5836, 0.3329)
N (0.9728, 0.9164, 0.1671)

The 12 most intense peaks (5 to 70 degrees two-theta), in order of falling intensity:
2θ 29.74, I = 100; 2θ 26.45, I = 94; 2θ 33.76, I = 73; 2θ 30.89, I = 69; 2θ 34.19, I = 61; 2θ 29.57, I = 34; 2θ 62.45, I = 29; 2θ 45.91, I = 27; 2θ 27.96, I = 25; 2θ 54.06, I = 22; 2θ 18.50, I = 22; 2θ 60.35, I = 22

=====

# 5
For Ba4MgGe4O12, a crystal structure in the Materials Project, relaxed with PBE gives the theoretical PXRD pattern in this record (Cu Kα, 1.54184 Å).

Atomic structure:
Cell: 4.7839 6.0749 13.2993 Å, 86.02 88.69 88.42°
Fractional coordinates of all 21 atoms:
Ba (0.0000, 0.0000, 0.0000)
Ba (0.0304, 0.6272, 0.4880)
Ba (0.4670, 0.0815, 0.3005)
Ba (0.5348, 0.4624, 0.8459)
Mg (0.0498, 0.2777, 0.6975)
Ge (0.4226, 0.5110, 0.0926)
Ge (0.4962, 0.0160, 0.5985)
Ge (0.9124, 0.5704, 0.2433)
Ge (0.9700, 0.8073, 0.7451)
O (0.0454, 0.5394, 0.1168)
O (0.0495, 0.2635, 0.8451)
O (0.3485, 0.8606, 0.7072)
O (0.3554, 0.2871, 0.5926)
O (0.4900, 0.8806, 0.4852)
O (0.4923, 0.2387, 0.0611)
O (0.4943, 0.7232, 0.0009)
O (0.5371, 0.5544, 0.2194)
O (0.8539, 0.0296, 0.6390)
O (0.8849, 0.5725, 0.6741)
O (0.9673, 0.8329, 0.2854)
O (0.9789, 0.3491, 0.3318)

The 12 most intense peaks (5 to 70 degrees two-theta), in order of falling intensity:
2θ 24.76, I = 100; 2θ 24.09, I = 71; 2θ 23.97, I = 62; 2θ 37.63, I = 46; 2θ 25.11, I = 45; 2θ 33.20, I = 34; 2θ 25.75, I = 33; 2θ 32.53, I = 31; 2θ 30.73, I = 28; 2θ 29.49, I = 23; 2θ 31.64, I = 21; 2θ 26.89, I = 18

=====

# 6
For BaMnGe, a crystal structure in the Materials Project, relaxed with PBE gives the theoretical PXRD pattern in this record (Cu Kα, 1.54184 Å).

Atomic structure:
Cell: 4.7338 4.7338 8.1428 Å, 90.00 90.00 90.00°
Fractional coordinates of all 6 atoms:
Ba (0.2500, 0.2500, 0.1696)
Ba (0.7500, 0.7500, 0.8304)
Mn (0.2500, 0.7500, 0.5000)
Mn (0.7500, 0.2500, 0.5000)
Ge (0.2500, 0.2500, 0.6768)
Ge (0.7500, 0.7500, 0.3232)

The 12 most intense peaks (5 to 70 degrees two-theta), in order of falling intensity:
2θ 28.91, I = 100; 2θ 34.69, I = 49; 2θ 38.02, I = 45; 2θ 26.63, I = 38; 2θ 48.46, I = 38; 2θ 48.69, I = 23; 2θ 63.39, I = 21; 2θ 54.85, I = 15; 2θ 66.55, I = 14; 2θ 63.18, I = 12; 2θ 21.72, I = 12; 2θ 52.62, I = 9